No. 1
Simulated X-ray diffraction stick pattern
Compound: YEr4Pd5
Radiation: Cu Kα, 1.54184 Å
Structure: a structure optimized by DFT (PBE)
Kinematic intensities with the Lorentz-polarization factor, no thermal factor.

Most intense lines, 2θ from 5° to 70°, in order of rising 2θ:
Position (°2θ)  I (rel.)
9.98  2.1
25.11  1.7
25.77  3.1
36.29  100.0
36.76  48.4
45.04  1.5
51.54  9.0
52.97  16.9
64.97  17.8
65.90  34.5

```
data_YEr4Pd5
_cell_length_a 3.457
_cell_length_b 3.457
_cell_length_c 17.733
_cell_angle_alpha 90.00
_cell_angle_beta 90.00
_cell_angle_gamma 90.00
_space_group_name_H-M_alt 'P 4/m m m'
_space_group_IT_number 123
_space_group_name_Hall '-P 4 2'
loop_
_atom_site_label
_atom_site_fract_x
_atom_site_fract_y
_atom_site_fract_z
Y1 0.000 0.000 0.000
Er1 0.000 0.000 0.202
Er2 0.000 0.000 0.401
Pd1 0.500 0.500 0.104
Pd2 0.500 0.500 0.301
Pd3 0.500 0.500 0.500
```

***

No. 2
Simulated X-ray diffraction stick pattern
Compound: Ce4CN2O
Radiation: Cu Kα, 1.54184 Å
Structure: a structure optimized by DFT (PBE)
Kinematic intensities with the Lorentz-polarization factor, no thermal factor.

Most intense lines, 2θ from 5° to 70°, in order of rising 2θ:
Position (°2θ)  I (rel.)
30.54  100.0
35.32  25.4
35.45  50.2
50.94  52.1
60.45  15.1
60.62  29.9
63.56  17.5

```
data_Ce4CN2O
_cell_length_a 5.064
_cell_length_b 5.064
_cell_length_c 10.165
_cell_angle_alpha 90.00
_cell_angle_beta 90.00
_cell_angle_gamma 90.00
_space_group_name_H-M_alt 'I 4/m m m'
_space_group_IT_number 139
_space_group_name_Hall '-I 4 2'
loop_
_atom_site_label
_atom_site_fract_x
_atom_site_fract_y
_atom_site_fract_z
Ce1 0.000 0.000 0.250
Ce2 0.000 0.500 0.000
C1 0.000 0.000 0.000
N1 0.000 0.500 0.250
O1 0.000 0.000 0.500
```

***

No. 3
Simulated X-ray diffraction stick pattern
Compound: Ag2SnPd2
Radiation: Cu Kα, 1.54184 Å
Structure: a structure optimized by DFT (PBE)
Kinematic intensities with the Lorentz-polarization factor, no thermal factor.

Most intense lines, 2θ from 5° to 70°, in order of rising 2θ:
Position (°2θ)  I (rel.)
35.49  21.8
36.27  38.7
36.84  23.0
38.49  25.0
39.57  100.0
40.39  50.9
40.84  25.2
44.08  13.7
45.21  17.5
61.36  28.5

```
data_Ag2SnPd2
_cell_length_a 11.561
_cell_length_b 5.981
_cell_length_c 5.254
_cell_angle_alpha 90.00
_cell_angle_beta 100.27
_cell_angle_gamma 90.00
_space_group_name_H-M_alt 'P 1 21/c 1'
_space_group_IT_number 14
_space_group_name_Hall '-P 2ybc'
loop_
_atom_site_label
_atom_site_fract_x
_atom_site_fract_y
_atom_site_fract_z
Ag1 0.095 0.127 0.124
Ag2 0.300 0.619 0.848
Sn1 0.309 0.094 0.847
Pd1 0.105 0.614 0.126
Pd2 0.494 0.135 0.248
```

***

No. 4
Simulated X-ray diffraction stick pattern
Compound: Mn2NbAl2
Radiation: Cu Kα, 1.54184 Å
Structure: a structure optimized by DFT (PBE)
Kinematic intensities with the Lorentz-polarization factor, no thermal factor.

Most intense lines, 2θ from 5° to 70°, in order of rising 2θ:
Position (°2θ)  I (rel.)
24.39  29.2
32.70  32.7
34.77  30.3
39.03  100.0
41.22  50.7
43.12  66.7
44.77  18.4
51.80  43.4
56.54  12.9
65.18  14.0

```
data_Mn2NbAl2
_cell_length_a 7.299
_cell_length_b 7.299
_cell_length_c 2.738
_cell_angle_alpha 90.00
_cell_angle_beta 90.00
_cell_angle_gamma 90.00
_space_group_name_H-M_alt 'P 4/m b m'
_space_group_IT_number 127
_space_group_name_Hall '-P 4 2ab'
loop_
_atom_site_label
_atom_site_fract_x
_atom_site_fract_y
_atom_site_fract_z
Mn1 0.121 0.379 0.000
Nb1 0.000 0.000 0.000
Al1 0.174 0.674 0.500
```

***

No. 5
Simulated X-ray diffraction stick pattern
Compound: BaSc2Cu2
Radiation: Cu Kα, 1.54184 Å
Structure: a structure optimized by DFT (PBE)
Kinematic intensities with the Lorentz-polarization factor, no thermal factor.

Most intense lines, 2θ from 5° to 70°, in order of rising 2θ:
Position (°2θ)  I (rel.)
19.72  35.0
30.45  100.0
30.82  86.8
33.41  16.0
36.22  74.3
48.28  47.1
50.10  20.1
52.16  24.8
57.89  34.9
61.61  25.6

```
data_BaSc2Cu2
_cell_length_a 4.960
_cell_length_b 4.960
_cell_length_c 10.729
_cell_angle_alpha 90.00
_cell_angle_beta 90.00
_cell_angle_gamma 90.00
_space_group_name_H-M_alt 'I 4/m m m'
_space_group_IT_number 139
_space_group_name_Hall '-I 4 2'
loop_
_atom_site_label
_atom_site_fract_x
_atom_site_fract_y
_atom_site_fract_z
Ba1 0.000 0.000 0.000
Sc1 0.000 0.000 0.341
Cu1 0.000 0.500 0.250
```

***

No. 6
Simulated X-ray diffraction stick pattern
Compound: CsRu3C
Radiation: Cu Kα, 1.54184 Å
Structure: a structure optimized by DFT (PBE)
Kinematic intensities with the Lorentz-polarization factor, no thermal factor.

Most intense lines, 2θ from 5° to 70°, in order of rising 2θ:
Position (°2θ)  I (rel.)
29.52  2.0
36.36  100.0
42.23  53.7
52.36  0.7
61.26  34.9

```
data_CsRu3C
_cell_length_a 4.280
_cell_length_b 4.280
_cell_length_c 4.280
_cell_angle_alpha 90.00
_cell_angle_beta 90.00
_cell_angle_gamma 90.00
_space_group_name_H-M_alt 'P m -3 m'
_space_group_IT_number 221
_space_group_name_Hall '-P 4 2 3'
loop_
_atom_site_label
_atom_site_fract_x
_atom_site_fract_y
_atom_site_fract_z
Cs1 0.000 0.000 0.000
Ru1 0.000 0.500 0.500
C1 0.500 0.500 0.500
```